Li2Er3Mg7: theoretical PXRD pattern (a wavelength of 1.5418 Å), based on a cell relaxed with GGA-PBE.
No peak broadening, texture or thermal motion is included.

Peak list (10 most intense, 2θ from 10° to 90°, by intensity)
2θ 17.3, intensity 100; 2θ 28.2, intensity 92; 2θ 35.6, intensity 73; 2θ 29.7, intensity 71; 2θ 30.8, intensity 59; 2θ 34.6, intensity 48; 2θ 51.8, intensity 35; 2θ 58.2, intensity 32; 2θ 53.5, intensity 24; 2θ 48.8, intensity 23

Structural model:
```
Li2Er3Mg7
1.0
3.004 1.734 9.327
-3.004 1.734 9.327
0.000 -3.468 9.327
Li Er Mg
2 3 7
Direct
0.166 0.166 0.166
0.834 0.834 0.834
0.360 0.360 0.360
0.500 0.500 0.500
0.640 0.640 0.640
0.000 0.000 0.000
0.083 0.083 0.576
0.083 0.576 0.083
0.424 0.917 0.917
0.576 0.083 0.083
0.917 0.424 0.917
0.917 0.917 0.424
```